1.
# K3BaAg8
Theoretical X-ray diffraction stick pattern, Cu Kα X-rays. Input: a crystal structure in Alexandria, relaxed with GGA-PBE.

Atomic structure:
abc: 10.481 10.481 10.481
angles: 33.15 33.15 33.15
Fractional positions:
K  0.000  0.000  0.000
K  0.122  0.122  0.122
K  0.492  0.492  0.492
Ba  0.620  0.620  0.620
Ag  0.056  0.559  0.559
Ag  0.057  0.057  0.561
Ag  0.057  0.561  0.057
Ag  0.309  0.309  0.309
Ag  0.559  0.056  0.559
Ag  0.559  0.559  0.056
Ag  0.561  0.057  0.057
Ag  0.808  0.808  0.808

Largest 10 diffraction maxima, in order of rising 2θ, 2θ from 10° to 90°:
| 2theta | I/Imax |
| --- | --- |
| 18.1 | 49 |
| 34.8 | 53 |
| 35.1 | 100 |
| 35.2 | 50 |
| 36.3 | 31 |
| 36.8 | 91 |
| 42.6 | 31 |
| 56.3 | 24 |
| 61.5 | 30 |
| 62.1 | 29 |


2.
# Tl2Se4N3
Theoretical X-ray diffraction stick pattern, Cu Kα X-rays. Input: a crystal structure in Alexandria, relaxed with GGA-PBE.

Atomic structure:
abc: 7.185 7.497 9.819
angles: 106.02 96.41 92.97
Fractional positions:
Tl  0.058  0.385  0.282
Tl  0.183  0.136  0.638
Tl  0.817  0.864  0.362
Tl  0.942  0.615  0.718
Se  0.121  0.313  0.957
Se  0.367  0.886  0.302
Se  0.397  0.674  0.065
Se  0.433  0.751  0.735
Se  0.567  0.249  0.265
Se  0.603  0.326  0.935
Se  0.633  0.114  0.698
Se  0.879  0.687  0.043
N  0.173  0.552  0.950
N  0.228  0.848  0.711
N  0.353  0.122  0.278
N  0.647  0.878  0.722
N  0.772  0.152  0.289
N  0.827  0.448  0.050

Largest 10 diffraction maxima, in order of rising 2θ, 2θ from 10° to 90°:
| 2theta | I/Imax |
| --- | --- |
| 12.4 | 23 |
| 18.3 | 37 |
| 19.0 | 33 |
| 22.4 | 27 |
| 23.9 | 56 |
| 26.6 | 62 |
| 28.6 | 100 |
| 29.0 | 83 |
| 33.3 | 25 |
| 35.8 | 29 |


3.
# Pu2Al9Pd3
Theoretical X-ray diffraction stick pattern, Cu Kα X-rays. Input: a crystal structure in Alexandria, relaxed with GGA-PBE.

Atomic structure:
abc: 7.665 7.665 10.525
angles: 111.39 111.39 59.86
Fractional positions:
Pu  0.084  0.252  0.250
Pu  0.252  0.084  0.750
Pu  0.748  0.916  0.250
Pu  0.916  0.748  0.750
Al  0.024  0.860  0.076
Al  0.140  0.976  0.424
Al  0.191  0.359  0.576
Al  0.209  0.581  0.252
Al  0.310  0.480  0.937
Al  0.359  0.191  0.076
Al  0.372  0.628  0.750
Al  0.419  0.791  0.248
Al  0.480  0.310  0.437
Al  0.520  0.690  0.563
Al  0.581  0.209  0.752
Al  0.628  0.372  0.250
Al  0.641  0.809  0.924
Al  0.690  0.520  0.063
Al  0.791  0.419  0.748
Al  0.809  0.641  0.424
Al  0.860  0.024  0.576
Al  0.976  0.140  0.924
Pd  0.000  0.500  0.000
Pd  0.162  0.670  0.500
Pd  0.330  0.838  0.000
Pd  0.500  0.000  0.500
Pd  0.670  0.162  0.000
Pd  0.838  0.330  0.500

Largest 10 diffraction maxima, in order of rising 2θ, 2θ from 10° to 90°:
| 2theta | I/Imax |
| --- | --- |
| 13.7 | 25 |
| 14.7 | 22 |
| 25.1 | 87 |
| 29.9 | 100 |
| 36.7 | 81 |
| 37.7 | 29 |
| 40.8 | 88 |
| 51.4 | 19 |
| 56.8 | 42 |
| 63.3 | 20 |